Computed X-ray diffraction stick pattern of Na3CoO3 for CuKα, from the GGA+U geometry in Alexandria.
Peak positions follow from Bragg's law for the DFT cell and can differ from measured ones.

Largest 12 diffraction maxima, sorted by position, 2θ from 15° to 90°:
2θ/deg  I_rel  index
16.02  22  0 2 0
17.71  28  0 0 2
18.32  25  0 2 1
24.19  100  1 1 0
27.19  38  1 1 -2
27.94  22  1 2 -1
30.64  32  1 2 -2
32.88  25  1 1 2
33.61  31  0 4 1
35.89  21  1 3 1
39.50  63  0 2 4
46.37  31  2 0 -2

Structural model:
a = 3.9815 Å, b = 11.0648 Å, c = 10.2295 Å
α = 90.00°, β = 101.76°, γ = 90.00°
Element x y z (fractional)
Na 0.0039 0.2300 0.0197
Na 0.0039 0.2700 0.5197
Na 0.2232 0.5157 0.8839
Na 0.2232 0.9843 0.3839
Na 0.4012 0.0692 0.8652
Na 0.4012 0.4308 0.3652
Na 0.5988 0.5692 0.6348
Na 0.5988 0.9308 0.1348
Na 0.7768 0.0157 0.6161
Na 0.7768 0.4843 0.1161
Na 0.9961 0.7300 0.4803
Na 0.9961 0.7700 0.9803
Co 0.3096 0.6909 0.2449
Co 0.3096 0.8091 0.7449
Co 0.6904 0.1909 0.2551
Co 0.6904 0.3091 0.7551
O 0.1414 0.6599 0.7148
O 0.1414 0.8401 0.2148
O 0.2694 0.5933 0.1038
O 0.2694 0.9067 0.6038
O 0.4655 0.6381 0.4098
O 0.4655 0.8619 0.9098
O 0.5345 0.1381 0.0902
O 0.5345 0.3619 0.5902
O 0.7306 0.0933 0.3962
O 0.7306 0.4067 0.8962
O 0.8586 0.1599 0.7852
O 0.8586 0.3401 0.2852